(1)
Starting from a crystal structure in the Materials Project, relaxed with GGA-PBE, the powder XRD pattern of CsK2AlCl6 was computed for copper Kα.
Lines closer than 0.1° are merged.

Top 10 peaks for 2θ from 10° to 90°, most intense first:
Position (°2θ), intensity
32.20, 100
22.62, 94
15.94, 80
35.18, 58
46.19, 57
26.59, 50
52.02, 31
39.71, 29
62.51, 27
36.13, 25

Cell: 7.862 7.862 7.862 Å, 60.00 60.00 60.00°
Fractional coordinates of all 10 atoms:
1 Cs 0.000 0.000 0.000
2 K 0.250 0.250 0.250
3 K 0.750 0.750 0.750
4 Al 0.500 0.500 0.500
5 Cl 0.289 0.289 0.711
6 Cl 0.289 0.711 0.289
7 Cl 0.289 0.711 0.711
8 Cl 0.711 0.289 0.289
9 Cl 0.711 0.289 0.711
10 Cl 0.711 0.711 0.289

(2)
Starting from a crystal structure in the Materials Project, relaxed with GGA-PBE, the powder XRD pattern of Cs2KAlCl6 was computed for copper Kα.
Lines closer than 0.1° are merged.

Top 10 peaks for 2θ from 10° to 90°, most intense first:
Position (°2θ), intensity
23.28, 100
28.61, 87
33.16, 77
47.60, 48
40.91, 38
56.48, 28
64.53, 27
53.64, 27
16.40, 17
79.29, 17

Cell: 7.642 7.642 7.642 Å, 60.00 60.00 60.00°
Fractional coordinates of all 10 atoms:
1 Cs 0.250 0.250 0.250
2 Cs 0.750 0.750 0.750
3 K 0.000 0.000 0.000
4 Al 0.500 0.500 0.500
5 Cl 0.282 0.282 0.718
6 Cl 0.282 0.718 0.282
7 Cl 0.282 0.718 0.718
8 Cl 0.718 0.282 0.282
9 Cl 0.718 0.282 0.718
10 Cl 0.718 0.718 0.282

(3)
Starting from a crystal structure in the Materials Project, relaxed with GGA-PBE, the powder XRD pattern of Cs2AlTlCl6 was computed for copper Kα.
Lines closer than 0.1° are merged.

Top 10 peaks for 2θ from 10° to 90°, most intense first:
Position (°2θ), intensity
23.05, 100
32.82, 52
40.49, 42
47.10, 34
63.81, 27
53.06, 26
27.09, 25
35.86, 21
14.05, 16
78.35, 13

Cell: 7.718 7.718 7.718 Å, 60.00 60.00 60.00°
Fractional coordinates of all 10 atoms:
1 Cs 0.250 0.250 0.250
2 Cs 0.750 0.750 0.750
3 Al 0.000 0.000 0.000
4 Tl 0.500 0.500 0.500
5 Cl 0.216 0.216 0.784
6 Cl 0.216 0.784 0.216
7 Cl 0.216 0.784 0.784
8 Cl 0.784 0.216 0.216
9 Cl 0.784 0.216 0.784
10 Cl 0.784 0.784 0.216

(4)
Starting from a crystal structure in the Materials Project, relaxed with GGA-PBE, the powder XRD pattern of Al2CuCl8 was computed for copper Kα.
Lines closer than 0.1° are merged.

Top 10 peaks for 2θ from 10° to 90°, most intense first:
Position (°2θ), intensity
29.62, 100
12.80, 92
30.76, 67
13.56, 58
18.20, 56
18.04, 53
17.30, 46
45.99, 44
38.27, 43
21.50, 38

Cell: 6.952 7.638 12.665 Å, 90.00 95.93 90.00°
Fractional coordinates of all 22 atoms:
1 Al 0.189 0.239 0.180
2 Al 0.189 0.261 0.680
3 Al 0.811 0.739 0.320
4 Al 0.811 0.761 0.820
5 Cu 0.000 0.000 0.500
6 Cu 0.000 0.500 0.000
7 Cl 0.103 0.741 0.910
8 Cl 0.103 0.759 0.410
9 Cl 0.166 0.229 0.844
10 Cl 0.166 0.271 0.344
11 Cl 0.290 0.015 0.607
12 Cl 0.290 0.485 0.107
13 Cl 0.350 0.022 0.138
14 Cl 0.350 0.478 0.638
15 Cl 0.650 0.522 0.362
16 Cl 0.650 0.978 0.862
17 Cl 0.710 0.515 0.893
18 Cl 0.710 0.985 0.393
19 Cl 0.834 0.729 0.656
20 Cl 0.834 0.771 0.156
21 Cl 0.897 0.241 0.590
22 Cl 0.897 0.259 0.090

(5)
Starting from a crystal structure in the Materials Project, relaxed with GGA-PBE, the powder XRD pattern of AlCu4SbPb6S2Cl4O26 was computed for copper Kα.
Lines closer than 0.1° are merged.

Top 10 peaks for 2θ from 10° to 90°, most intense first:
Position (°2θ), intensity
30.04, 100
13.36, 55
18.85, 46
26.68, 35
14.88, 33
38.34, 32
31.25, 32
40.62, 31
16.82, 30
28.22, 29

Cell: 10.084 10.084 10.651 Å, 114.65 114.65 41.89°
Fractional coordinates of all 44 atoms:
1 Al 0.000 0.000 0.000
2 Cu 0.000 0.500 0.000
3 Cu 0.112 0.112 0.890
4 Cu 0.500 0.000 0.000
5 Cu 0.888 0.888 0.110
6 Sb 0.000 0.000 0.500
7 Pb 0.175 0.699 0.709
8 Pb 0.190 0.190 0.676
9 Pb 0.301 0.825 0.291
10 Pb 0.699 0.175 0.709
11 Pb 0.810 0.810 0.324
12 Pb 0.825 0.301 0.291
13 S 0.265 0.265 0.423
14 S 0.735 0.735 0.577
15 Cl 0.342 0.342 0.843
16 Cl 0.467 0.467 0.299
17 Cl 0.533 0.533 0.701
18 Cl 0.658 0.658 0.157
19 O 0.019 0.649 0.167
20 O 0.020 0.020 0.699
21 O 0.087 0.426 0.343
22 O 0.092 0.092 0.190
23 O 0.100 0.728 0.472
24 O 0.122 0.774 0.061
25 O 0.198 0.198 0.468
26 O 0.226 0.878 0.939
27 O 0.232 0.232 0.050
28 O 0.272 0.900 0.528
29 O 0.343 0.343 0.557
30 O 0.351 0.981 0.833
31 O 0.426 0.087 0.343
32 O 0.574 0.913 0.657
33 O 0.649 0.019 0.167
34 O 0.657 0.657 0.443
35 O 0.728 0.100 0.472
36 O 0.768 0.768 0.950
37 O 0.774 0.122 0.061
38 O 0.802 0.802 0.532
39 O 0.878 0.226 0.939
40 O 0.900 0.272 0.528
41 O 0.908 0.908 0.810
42 O 0.913 0.574 0.657
43 O 0.980 0.980 0.301
44 O 0.981 0.351 0.833

(6)
Starting from a crystal structure in the Materials Project, relaxed with GGA-PBE, the powder XRD pattern of AlCu6SClO19 was computed for copper Kα.
Lines closer than 0.1° are merged.

Top 10 peaks for 2θ from 10° to 90°, most intense first:
Position (°2θ), intensity
12.39, 100
24.92, 26
37.10, 24
39.79, 17
52.32, 12
35.41, 12
47.52, 12
43.31, 11
25.85, 10
62.83, 7

Cell: 7.869 7.869 14.290 Å, 90.00 90.00 120.00°
Fractional coordinates of all 56 atoms:
1 Al 0.333 0.667 0.000
2 Al 0.667 0.333 0.500
3 Cu 0.043 0.242 0.006
4 Cu 0.091 0.623 0.493
5 Cu 0.199 0.957 0.006
6 Cu 0.242 0.043 0.506
7 Cu 0.377 0.467 0.493
8 Cu 0.467 0.377 0.993
9 Cu 0.533 0.909 0.493
10 Cu 0.623 0.091 0.993
11 Cu 0.758 0.801 0.006
12 Cu 0.801 0.758 0.506
13 Cu 0.909 0.533 0.993
14 Cu 0.957 0.199 0.506
15 S 0.000 0.000 0.218
16 S 0.000 0.000 0.718
17 Cl 0.333 0.667 0.365
18 Cl 0.667 0.333 0.865
19 O 0.000 0.000 0.109
20 O 0.000 0.000 0.609
21 O 0.036 0.842 0.249
22 O 0.038 0.821 0.446
23 O 0.101 0.504 0.931
24 O 0.153 0.448 0.554
25 O 0.158 0.194 0.249
26 O 0.169 0.736 0.068
27 O 0.179 0.217 0.446
28 O 0.194 0.158 0.749
29 O 0.215 0.580 0.742
30 O 0.217 0.179 0.946
31 O 0.264 0.433 0.068
32 O 0.295 0.847 0.554
33 O 0.365 0.785 0.742
34 O 0.403 0.899 0.931
35 O 0.420 0.635 0.742
36 O 0.433 0.264 0.568
37 O 0.448 0.153 0.054
38 O 0.496 0.597 0.931
39 O 0.504 0.101 0.431
40 O 0.552 0.705 0.554
41 O 0.567 0.831 0.068
42 O 0.580 0.215 0.242
43 O 0.597 0.496 0.431
44 O 0.635 0.420 0.242
45 O 0.705 0.552 0.054
46 O 0.736 0.169 0.568
47 O 0.783 0.962 0.446
48 O 0.785 0.365 0.242
49 O 0.806 0.964 0.249
50 O 0.821 0.038 0.946
51 O 0.831 0.567 0.568
52 O 0.842 0.036 0.749
53 O 0.847 0.295 0.054
54 O 0.899 0.403 0.431
55 O 0.962 0.783 0.946
56 O 0.964 0.806 0.749

(7)
Starting from a crystal structure in the Materials Project, relaxed with GGA-PBE, the powder XRD pattern of DyAl3Cl12 was computed for copper Kα.
Lines closer than 0.1° are merged.

Top 10 peaks for 2θ from 10° to 90°, most intense first:
Position (°2θ), intensity
10.94, 100
14.54, 69
37.27, 30
23.40, 23
25.28, 22
30.73, 22
32.46, 22
18.95, 19
33.80, 15
27.54, 14

Cell: 10.816 10.816 16.035 Å, 90.00 90.00 120.00°
Fractional coordinates of all 48 atoms:
1 Dy 0.172 0.343 0.167
2 Dy 0.172 0.828 0.833
3 Dy 0.657 0.828 0.500
4 Al 0.204 0.602 0.000
5 Al 0.302 0.097 0.230
6 Al 0.302 0.205 0.770
7 Al 0.398 0.602 0.333
8 Al 0.398 0.796 0.667
9 Al 0.795 0.097 0.104
10 Al 0.795 0.698 0.896
11 Al 0.903 0.205 0.563
12 Al 0.903 0.698 0.437
13 Cl 0.005 0.176 0.039
14 Cl 0.005 0.829 0.961
15 Cl 0.077 0.534 0.113
16 Cl 0.077 0.543 0.887
17 Cl 0.125 0.302 0.543
18 Cl 0.125 0.822 0.457
19 Cl 0.170 0.499 0.315
20 Cl 0.170 0.671 0.685
21 Cl 0.171 0.176 0.295
22 Cl 0.171 0.995 0.705
23 Cl 0.178 0.302 0.790
24 Cl 0.178 0.875 0.210
25 Cl 0.321 0.107 0.888
26 Cl 0.321 0.214 0.112
27 Cl 0.329 0.499 0.018
28 Cl 0.329 0.830 0.982
29 Cl 0.457 0.534 0.221
30 Cl 0.457 0.923 0.779
31 Cl 0.466 0.543 0.446
32 Cl 0.466 0.923 0.554
33 Cl 0.500 0.175 0.289
34 Cl 0.500 0.325 0.711
35 Cl 0.501 0.671 0.649
36 Cl 0.501 0.830 0.351
37 Cl 0.675 0.175 0.045
38 Cl 0.675 0.500 0.955
39 Cl 0.698 0.822 0.876
40 Cl 0.698 0.875 0.124
41 Cl 0.786 0.107 0.445
42 Cl 0.786 0.679 0.555
43 Cl 0.824 0.829 0.372
44 Cl 0.824 0.995 0.628
45 Cl 0.825 0.325 0.622
46 Cl 0.825 0.500 0.378
47 Cl 0.893 0.214 0.222
48 Cl 0.893 0.679 0.778